Entry 1:
The following is a simulated X-ray powder pattern of Hf3Ni4Sb4. It was derived from a cell relaxed with GGA-PBE, using a wavelength of 1.5418 Å.
Neutral-atom scattering factors, no anomalous dispersion.

Peak list (10 most intense, 15 to 90 degrees two-theta, most intense first)
2θ 35.9, d 2.501, rel. 100.0; 2θ 36.9, d 2.434, rel. 76.3; 2θ 42.7, d 2.119, rel. 72.8; 2θ 43.7, d 2.071, rel. 48.0; 2θ 34.6, d 2.591, rel. 34.6; 2θ 28.3, d 3.153, rel. 30.3; 2θ 58.5, d 1.577, rel. 22.1; 2θ 79.6, d 1.205, rel. 12.4; 2θ 53.6, d 1.710, rel. 11.6; 2θ 25.2, d 3.532, rel. 11.5

Structure:
Cell lengths 6.7681, 4.1428, 7.4078 Å; angles 90.00, 93.06, 90.00 degrees
Sites, in units of the cell vectors:
Hf (0.0000, 0.0000, 0.0000)
Hf (0.0361, 0.5000, 0.4027)
Hf (0.5307, 0.0000, 0.9327)
Ni (0.1368, 0.5000, 0.7692)
Ni (0.3194, 0.0000, 0.2792)
Ni (0.7614, 0.5000, 0.1187)
Ni (0.9100, 0.0000, 0.6349)
Sb (0.2894, 0.0000, 0.6084)
Sb (0.3008, 0.5000, 0.0944)
Sb (0.7121, 0.0000, 0.3210)
Sb (0.7525, 0.5000, 0.7616)

=====

Entry 2:
The following is a simulated X-ray powder pattern of K2PdCl4. It was derived from a cell relaxed with GGA-PBE, using a wavelength of 1.5418 Å.
Neutral-atom scattering factors, no anomalous dispersion.

Peak list (10 most intense, 15 to 90 degrees two-theta, most intense first)
2θ 27.9, d 3.196, rel. 100.0; 2θ 24.9, d 3.569, rel. 91.6; 2θ 28.0, d 3.181, rel. 80.8; 2θ 35.5, d 2.526, rel. 78.7; 2θ 45.8, d 1.980, rel. 65.8; 2θ 21.5, d 4.128, rel. 65.6; 2θ 36.0, d 2.496, rel. 58.5; 2θ 46.1, d 1.967, rel. 36.2; 2θ 51.5, d 1.775, rel. 36.1; 2θ 33.3, d 2.692, rel. 35.3

Structure:
Cell lengths 4.1285, 10.1062, 9.9821 Å; angles 90.00, 90.00, 90.00 degrees
Sites, in units of the cell vectors:
K (0.0000, 0.2491, 0.0000)
K (0.0000, 0.2509, 0.5000)
K (0.0000, 0.7491, 0.5000)
K (0.0000, 0.7509, 0.0000)
Pd (0.5000, 0.0000, 0.2496)
Pd (0.5000, 0.5000, 0.7496)
Cl (0.5000, 0.0000, 0.0155)
Cl (0.5000, 0.0000, 0.4830)
Cl (0.5000, 0.2307, 0.2490)
Cl (0.5000, 0.2693, 0.7490)
Cl (0.5000, 0.5000, 0.5155)
Cl (0.5000, 0.5000, 0.9830)
Cl (0.5000, 0.7307, 0.7490)
Cl (0.5000, 0.7693, 0.2490)

=====

Entry 3:
The following is a simulated X-ray powder pattern of TmMgSn2. It was derived from a cell relaxed with GGA-PBE, using a wavelength of 1.5418 Å.
Neutral-atom scattering factors, no anomalous dispersion.

Peak list (10 most intense, 15 to 90 degrees two-theta, most intense first)
2θ 33.5, d 2.677, rel. 100.0; 2θ 33.9, d 2.647, rel. 82.6; 2θ 34.0, d 2.633, rel. 76.7; 2θ 34.6, d 2.590, rel. 74.6; 2θ 66.2, d 1.412, rel. 32.3; 2θ 38.1, d 2.362, rel. 27.4; 2θ 66.5, d 1.406, rel. 25.8; 2θ 21.5, d 4.129, rel. 25.8; 2θ 31.1, d 2.880, rel. 25.6; 2θ 68.1, d 1.376, rel. 24.3

Structure:
Cell lengths 8.2612, 8.2612, 8.2612 Å; angles 120.92, 120.92, 88.41 degrees
Sites, in units of the cell vectors:
Tm (0.1558, 0.1558, 0.0000)
Tm (0.2500, 0.7500, 0.5000)
Tm (0.7500, 0.2500, 0.5000)
Tm (0.8442, 0.8442, 0.0000)
Mg (0.2327, 0.2327, 0.6770)
Mg (0.4443, 0.7673, 0.0000)
Mg (0.5557, 0.5557, 0.3230)
Mg (0.7673, 0.4443, 0.0000)
Sn (0.0000, 0.3174, 0.3174)
Sn (0.0000, 0.6826, 0.6826)
Sn (0.1373, 0.5306, 0.0000)
Sn (0.3174, 0.0000, 0.3174)
Sn (0.4694, 0.4694, 0.6067)
Sn (0.5306, 0.1373, 0.0000)
Sn (0.6826, 0.0000, 0.6826)
Sn (0.8627, 0.8627, 0.3933)

=====

Entry 4:
The following is a simulated X-ray powder pattern of DyErZn2Pt4. It was derived from a cell relaxed with GGA-PBE, using a wavelength of 1.5418 Å.
Neutral-atom scattering factors, no anomalous dispersion.

Peak list (10 most intense, 15 to 90 degrees two-theta, most intense first)
2θ 38.5, d 2.335, rel. 100.0; 2θ 69.8, d 1.348, rel. 23.5; 2θ 69.7, d 1.350, rel. 11.8; 2θ 55.7, d 1.650, rel. 11.5; 2θ 82.6, d 1.168, rel. 7.5; 2θ 27.0, d 3.303, rel. 7.2; 2θ 55.5, d 1.654, rel. 5.8; 2θ 23.3, d 3.814, rel. 5.2; 2θ 82.7, d 1.167, rel. 3.7; 2θ 45.5, d 1.992, rel. 2.8

Structure:
Cell lengths 4.6666, 4.6666, 6.6179 Å; angles 90.00, 90.00, 90.00 degrees
Sites, in units of the cell vectors:
Dy (0.0000, 0.0000, 0.0000)
Er (0.5000, 0.5000, 0.5000)
Zn (0.0000, 0.0000, 0.5000)
Zn (0.5000, 0.5000, 0.0000)
Pt (0.0000, 0.5000, 0.2516)
Pt (0.0000, 0.5000, 0.7484)
Pt (0.5000, 0.0000, 0.2516)
Pt (0.5000, 0.0000, 0.7484)